Theoretical powder diffractogram of As4Pb9S15 for Cu Kα (weighted mean of Kα1 and Kα2), from a PBE-relaxed structure.
Intensities are scaled so that the largest is 100.

abc: 10.780 10.780 10.780
angles: 114.30 114.30 114.30
Fractional positions:
As  0.000  0.000  0.000
As  0.209  0.645  0.645
As  0.645  0.209  0.645
As  0.645  0.645  0.209
Pb  0.073  0.277  0.808
Pb  0.073  0.808  0.277
Pb  0.277  0.073  0.808
Pb  0.277  0.808  0.073
Pb  0.451  0.451  0.716
Pb  0.451  0.716  0.451
Pb  0.716  0.451  0.451
Pb  0.808  0.073  0.277
Pb  0.808  0.277  0.073
S  0.011  0.465  0.657
S  0.011  0.657  0.465
S  0.127  0.127  0.573
S  0.127  0.573  0.127
S  0.164  0.421  0.421
S  0.421  0.164  0.421
S  0.421  0.421  0.164
S  0.465  0.011  0.657
S  0.465  0.657  0.011
S  0.573  0.127  0.127
S  0.657  0.011  0.465
S  0.657  0.465  0.011
S  0.732  0.925  0.925
S  0.925  0.732  0.925
S  0.925  0.925  0.732

The 10 most intense peaks (10 to 90 degrees two-theta), sorted by position:
two_theta  d (Å)  I (rel.)
23.36  3.807  82.4
25.39  3.509  100.0
26.03  3.423  20.9
27.24  3.274  32.0
30.68  2.914  60.1
32.27  2.774  65.4
39.81  2.264  40.2
43.52  2.079  36.9
46.66  1.947  36.3
51.08  1.788  30.5



Theoretical powder diffractogram of AsPbS3 for Cu Kα (weighted mean of Kα1 and Kα2), from a PBE-relaxed structure.
Intensities are scaled so that the largest is 100.

abc: 6.979 7.716 11.555
angles: 90.00 124.47 90.00
Fractional positions:
As  0.000  0.136  0.000
As  0.000  0.864  0.500
As  0.291  0.364  0.143
As  0.291  0.636  0.643
Pb  0.366  0.133  0.825
Pb  0.366  0.867  0.325
Pb  0.927  0.367  0.320
Pb  0.927  0.633  0.820
S  0.065  0.436  0.638
S  0.065  0.564  0.138
S  0.227  0.064  0.505
S  0.227  0.936  0.005
S  0.432  0.449  0.027
S  0.432  0.551  0.527
S  0.544  0.245  0.345
S  0.544  0.755  0.845
S  0.747  0.255  0.799
S  0.747  0.745  0.299
S  0.858  0.050  0.116
S  0.858  0.950  0.616

The 10 most intense peaks (10 to 90 degrees two-theta), sorted by position:
two_theta  d (Å)  I (rel.)
17.14  5.173  24.6
18.63  4.763  27.0
19.81  4.482  42.2
24.92  3.573  100.0
25.56  3.486  30.7
25.86  3.446  37.3
30.03  2.976  23.2
32.57  2.749  48.4
33.62  2.666  26.7
35.66  2.518  46.4



Theoretical powder diffractogram of TlAs3PbS6 for Cu Kα (weighted mean of Kα1 and Kα2), from a PBE-relaxed structure.
Intensities are scaled so that the largest is 100.

abc: 24.507 8.422 25.553
angles: 73.35 19.22 87.42
Fractional positions:
Tl  0.236  0.764  0.330
Tl  0.580  0.920  0.486
Tl  0.764  0.236  0.670
Tl  0.920  0.580  0.014
As  0.077  0.308  0.089
As  0.087  0.738  0.067
As  0.142  0.183  0.512
As  0.161  0.724  0.173
As  0.183  0.142  0.163
As  0.289  0.379  0.644
As  0.308  0.077  0.526
As  0.379  0.289  0.688
As  0.562  0.606  0.871
As  0.606  0.562  0.961
As  0.724  0.161  0.942
As  0.738  0.087  0.108
Pb  0.297  0.589  0.457
Pb  0.589  0.297  0.657
Pb  0.593  0.793  0.661
Pb  0.793  0.593  0.953
S  0.007  0.927  0.076
S  0.040  0.486  0.798
S  0.042  0.534  0.054
S  0.097  0.415  0.145
S  0.105  0.907  0.153
S  0.174  0.260  0.243
S  0.196  0.880  0.208
S  0.234  0.436  0.775
S  0.260  0.174  0.323
S  0.415  0.097  0.343
S  0.436  0.234  0.555
S  0.452  0.573  0.210
S  0.463  0.526  0.701
S  0.475  0.695  0.016
S  0.486  0.040  0.677
S  0.526  0.463  0.310
S  0.534  0.042  0.370
S  0.549  0.940  0.787
S  0.573  0.452  0.764
S  0.695  0.475  0.814
S  0.880  0.196  0.716
S  0.907  0.105  0.835
S  0.927  0.007  0.990
S  0.940  0.549  0.724

The 10 most intense peaks (10 to 90 degrees two-theta), sorted by position:
two_theta  d (Å)  I (rel.)
22.47  3.957  28.8
22.70  3.917  100.0
22.95  3.876  26.0
25.53  3.489  28.3
30.26  2.954  49.1
31.50  2.840  54.1
31.73  2.820  59.3
32.89  2.723  35.9
38.73  2.325  24.0
43.01  2.103  20.1



Theoretical powder diffractogram of SbAsPb4 for Cu Kα (weighted mean of Kα1 and Kα2), from a PBE-relaxed structure.
Intensities are scaled so that the largest is 100.

abc: 4.942 6.606 6.922
angles: 62.64 69.44 68.05
Fractional positions:
Sb  0.000  0.000  0.000
As  0.355  0.579  0.708
Pb  0.007  0.544  0.438
Pb  0.327  0.039  0.308
Pb  0.614  0.120  0.651
Pb  0.730  0.507  0.027

The 10 most intense peaks (10 to 90 degrees two-theta), sorted by position:
two_theta  d (Å)  I (rel.)
27.34  3.262  19.6
27.51  3.242  20.5
27.90  3.198  21.7
28.39  3.144  42.4
31.37  2.852  44.8
31.52  2.839  100.0
31.91  2.805  59.3
32.10  2.788  57.6
36.36  2.471  51.8
41.83  2.160  25.6



Theoretical powder diffractogram of Sr2Sb2AsPb2 for Cu Kα (weighted mean of Kα1 and Kα2), from a PBE-relaxed structure.
Intensities are scaled so that the largest is 100.

abc: 4.543 7.973 8.201
angles: 64.58 74.25 73.84
Fractional positions:
Sr  0.032  0.219  0.215
Sr  0.968  0.781  0.785
Sb  0.383  0.148  0.591
Sb  0.617  0.852  0.409
As  0.500  0.500  0.000
Pb  0.285  0.607  0.316
Pb  0.715  0.393  0.684

The 10 most intense peaks (10 to 90 degrees two-theta), sorted by position:
two_theta  d (Å)  I (rel.)
12.14  7.292  82.1
12.51  7.075  55.0
25.85  3.447  48.6
25.99  3.428  47.5
29.47  3.031  100.0
29.57  3.020  97.3
31.62  2.830  51.3
35.25  2.546  65.4
35.94  2.498  56.6
39.68  2.271  62.3



Theoretical powder diffractogram of Sc3AsPb for Cu Kα (weighted mean of Kα1 and Kα2), from a PBE-relaxed structure.
Intensities are scaled so that the largest is 100.

abc: 8.267 8.267 3.781
angles: 90.00 90.00 107.19
Fractional positions:
Sc  0.189  0.811  0.000
Sc  0.190  0.435  0.500
Sc  0.435  0.190  0.500
Sc  0.565  0.810  0.500
Sc  0.810  0.565  0.500
Sc  0.811  0.189  0.000
As  0.000  0.500  0.000
As  0.500  0.000  0.000
Pb  0.000  0.000  0.500
Pb  0.500  0.500  0.000

The 10 most intense peaks (10 to 90 degrees two-theta), sorted by position:
two_theta  d (Å)  I (rel.)
13.31  6.653  18.1
22.52  3.949  82.8
26.13  3.411  49.5
32.44  2.760  100.0
36.63  2.453  21.4
36.96  2.432  47.6
41.81  2.161  20.3
42.55  2.125  19.0
44.85  2.021  22.8
56.78  1.621  19.9



Theoretical powder diffractogram of As4PbSe for Cu Kα (weighted mean of Kα1 and Kα2), from a PBE-relaxed structure.
Intensities are scaled so that the largest is 100.

abc: 5.931 5.931 5.931
angles: 60.00 60.00 60.00
Fractional positions:
As  0.393  0.393  0.393
As  0.393  0.393  0.820
As  0.393  0.820  0.393
As  0.820  0.393  0.393
Pb  0.000  0.000  0.000
Se  0.750  0.750  0.750

The 10 most intense peaks (10 to 90 degrees two-theta), sorted by position:
two_theta  d (Å)  I (rel.)
21.19  4.194  29.4
30.14  2.965  59.6
35.50  2.529  100.0
37.13  2.421  24.8
47.24  1.924  12.6
53.52  1.712  24.0
57.06  1.614  46.5
62.66  1.483  23.2
86.91  1.121  16.5
89.82  1.092  21.5